# 1
Simulated X-ray diffraction stick pattern of RbGeP for λ = 1.5418 Å (Cu Kα), from a crystal structure in Alexandria, relaxed with GGA-PBE.

Largest 12 diffraction maxima, low angle first, 5 to 70 degrees two-theta:
Position (°2θ)  Rel. int.  (hkl)
22.63  39  0 0 2
24.76  92  1 0 -2
26.74  89  0 1 1
27.07  100  2 0 0
27.76  75  1 1 0
27.94  73  2 0 -1
29.32  39  1 1 -1
33.35  47  0 1 2
34.88  75  1 1 -2
37.29  69  1 1 2
48.21  37  2 1 -3
52.81  37  0 1 4

Crystal structure
Lattice parameters (Å, degrees): 6.6491 3.6807 7.9333 90.00 97.79 90.00
Space group Pm (No. 6)
Symmetry-distinct sites (fractional):
Rb 0.0000 0.0000 0.0000 (multiplicity 1)
Rb 0.4198 0.5000 0.6158 (multiplicity 1)
Ge 0.5333 0.5000 0.1712 (multiplicity 1)
Ge 0.8714 0.5000 0.3738 (multiplicity 1)
P 0.5007 0.0000 0.9853 (multiplicity 1)
P 0.9111 0.0000 0.5586 (multiplicity 1)


# 2
Simulated X-ray diffraction stick pattern of DyTh3S for λ = 1.5418 Å (Cu Kα), from a crystal structure in Alexandria, relaxed with GGA-PBE.

Largest 10 diffraction maxima, low angle first, 5 to 70 degrees two-theta:
Position (°2θ)  Rel. int.  (hkl)
16.34  4  1 0 0
28.50  100  1 1 1
33.02  61  2 0 0
37.05  2  2 1 0
47.39  45  2 2 0
50.46  1  3 0 0
56.23  47  3 1 1
58.97  16  2 2 2
61.64  1  3 2 0
69.27  7  4 0 0

Crystal structure
Lattice parameters (Å, degrees): 5.4255 5.4255 5.4255 90.00 90.00 90.00
Space group Pm-3m (No. 221)
Symmetry-distinct sites (fractional):
Dy 0.0000 0.0000 0.0000 (multiplicity 1)
Th 0.0000 0.5000 0.5000 (multiplicity 3)
S 0.5000 0.5000 0.5000 (multiplicity 1)


# 3
Simulated X-ray diffraction stick pattern of Ti7Ga2Pt2 for λ = 1.5418 Å (Cu Kα), from a crystal structure in Alexandria, relaxed with GGA-PBE.

Largest 12 diffraction maxima, low angle first, 5 to 70 degrees two-theta:
Position (°2θ)  Rel. int.  (hkl)
13.04  58  0 0 1
23.18  88  0 2 1
30.83  75  2 0 1
31.32  25  1 1 2
32.65  31  0 2 2
38.71  42  0 4 0
41.89  30  1 3 2
43.42  100  2 2 2
44.52  31  0 2 3
45.53  20  3 1 1
50.28  27  2 4 1
53.79  25  3 3 1

Crystal structure
Lattice parameters (Å, degrees): 6.4157 9.3041 6.7903 90.00 90.00 90.00
Space group Cmmm (No. 65)
Symmetry-distinct sites (fractional):
Ti 0.0000 0.0000 0.0000 (multiplicity 2)
Ti 0.0000 0.5000 0.2655 (multiplicity 4)
Ti 0.2500 0.2500 0.2946 (multiplicity 8)
Ga 0.0000 0.2947 0.0000 (multiplicity 4)
Pt 0.1977 0.0000 0.5000 (multiplicity 4)


# 4
Simulated X-ray diffraction stick pattern of TbY2Tm3Bi6 for λ = 1.5418 Å (Cu Kα), from a crystal structure in Alexandria, relaxed with GGA-PBE.

Largest 12 diffraction maxima, low angle first, 5 to 70 degrees two-theta:
Position (°2θ)  Rel. int.  (hkl)
12.16  2  2 0 -1
23.39  1  1 1 1
24.45  7  3 1 0
28.30  100  6 0 0
37.04  1  8 0 -1
40.46  78  5 1 2
42.39  1  7 1 1
47.84  4  8 0 2
50.11  28  6 2 0
58.55  13  12 0 0
64.39  2  8 2 2
66.28  37  11 1 2

Crystal structure
Lattice parameters (Å, degrees): 19.4335 4.4586 8.9194 90.00 103.19 90.00
Space group C2/m (No. 12)
Symmetry-distinct sites (fractional):
Tb 0.0000 0.0000 0.0000 (multiplicity 2)
Y 0.1667 0.5000 0.3331 (multiplicity 4)
Tm 0.0000 0.0000 0.5000 (multiplicity 2)
Tm 0.1666 0.5000 0.8329 (multiplicity 4)
Bi 0.0009 0.5000 0.7475 (multiplicity 4)
Bi 0.1658 0.0000 0.5852 (multiplicity 4)
Bi 0.1677 0.0000 0.0809 (multiplicity 4)


# 5
Simulated X-ray diffraction stick pattern of Ho5Tm5Mg2 for λ = 1.5418 Å (Cu Kα), from a crystal structure in Alexandria, relaxed with GGA-PBE.

Largest 12 diffraction maxima, low angle first, 5 to 70 degrees two-theta:
Position (°2θ)  Rel. int.  (hkl)
26.15  6  1 1 2
31.81  5  4 0 0
32.24  54  3 1 1
32.61  100  3 1 -3
33.20  31  0 2 0
45.71  11  6 0 -2
47.26  19  0 2 4
57.68  16  6 0 -6
58.44  10  3 1 -7
58.72  13  3 3 1
58.93  14  3 3 -3
68.25  7  6 2 -6

Crystal structure
Lattice parameters (Å, degrees): 11.9099 5.3966 11.6126 90.00 109.15 90.00
Space group C2/m (No. 12)
Symmetry-distinct sites (fractional):
Ho 0.0000 0.0000 0.0000 (multiplicity 2)
Ho 0.0567 0.0000 0.7335 (multiplicity 4)
Ho 0.1928 0.0000 0.5314 (multiplicity 4)
Tm 0.0000 0.5000 0.5000 (multiplicity 2)
Tm 0.1794 0.5000 0.0207 (multiplicity 4)
Tm 0.2461 0.0000 0.2509 (multiplicity 4)
Mg 0.0671 0.5000 0.2337 (multiplicity 4)


# 6
Simulated X-ray diffraction stick pattern of Rb3TaCl8 for λ = 1.5418 Å (Cu Kα), from a crystal structure in Alexandria, relaxed with GGA-PBE.

Largest 12 diffraction maxima, low angle first, 5 to 70 degrees two-theta:
Position (°2θ)  Rel. int.  (hkl)
13.95  54  1 0 1
17.95  26  1 1 0
18.75  39  0 0 2
20.76  19  2 0 0
22.81  100  2 0 1
28.11  61  2 0 2
33.56  21  2 1 2
35.34  41  2 0 3
36.37  39  2 2 0
41.22  36  2 2 2
53.63  18  2 2 4
57.84  22  4 2 1

Crystal structure
Lattice parameters (Å, degrees): 9.8819 9.8819 9.4656 90.00 90.00 120.00
Space group P6_3mc (No. 186)
Symmetry-distinct sites (fractional):
Rb 0.1532 0.3064 0.0000 (multiplicity 6)
Ta 0.3333 0.6667 0.4617 (multiplicity 2)
Cl 0.0000 0.0000 0.2645 (multiplicity 2)
Cl 0.1064 0.5532 0.3210 (multiplicity 6)
Cl 0.2199 0.4398 0.6094 (multiplicity 6)
Cl 0.3333 0.6667 0.9705 (multiplicity 2)


# 7
Simulated X-ray diffraction stick pattern of Tb2ZrSb4 for λ = 1.5418 Å (Cu Kα), from a crystal structure in Alexandria, relaxed with GGA-PBE.

Largest 12 diffraction maxima, low angle first, 5 to 70 degrees two-theta:
Position (°2θ)  Rel. int.  (hkl)
8.04  11  0 0 1
26.38  35  1 0 2
32.14  12  1 0 3
32.57  11  0 0 4
33.79  100  1 1 2
38.92  24  1 0 4
42.20  36  2 0 0
46.41  9  1 0 5
50.46  12  2 1 2
54.30  10  2 0 4
58.75  15  2 1 4
61.21  12  2 2 0

Crystal structure
Lattice parameters (Å, degrees): 4.2827 4.2827 10.9985 90.00 90.00 90.00
Space group P-4m2 (No. 115)
Symmetry-distinct sites (fractional):
Tb 0.0000 0.5000 0.2193 (multiplicity 2)
Zr 0.0000 0.0000 0.5000 (multiplicity 1)
Sb 0.0000 0.0000 0.0000 (multiplicity 1)
Sb 0.0000 0.5000 0.6740 (multiplicity 2)
Sb 0.5000 0.5000 0.0000 (multiplicity 1)


# 8
Simulated X-ray diffraction stick pattern of HoU2Ru2 for λ = 1.5418 Å (Cu Kα), from a crystal structure in Alexandria, relaxed with GGA-PBE.

Largest 12 diffraction maxima, low angle first, 5 to 70 degrees two-theta:
Position (°2θ)  Rel. int.  (hkl)
12.17  45  2 0 0
33.60  100  3 1 1
33.82  61  4 0 -2
36.25  31  5 1 0
39.21  26  1 1 2
41.80  53  2 2 -1
45.95  49  7 1 -1
50.79  27  1 1 -3
57.05  16  6 0 2
65.98  11  6 2 -3
67.55  11  5 3 0
69.49  12  1 3 2

Crystal structure
Lattice parameters (Å, degrees): 15.2496 4.7329 5.9230 90.00 107.54 90.00
Space group C2/c (No. 15)
Symmetry-distinct sites (fractional):
Ho 0.0000 0.2120 0.2500 (multiplicity 4)
U 0.2055 0.1284 0.6504 (multiplicity 8)
Ru 0.1164 0.3093 0.9156 (multiplicity 8)


# 9
Simulated X-ray diffraction stick pattern of TaTiSn2 for λ = 1.5418 Å (Cu Kα), from a crystal structure in Alexandria, relaxed with GGA-PBE.

Largest 12 diffraction maxima, low angle first, 5 to 70 degrees two-theta:
Position (°2θ)  Rel. int.  (hkl)
9.30  49  0 0 3
28.14  6  0 0 9
33.26  9  1 0 1
35.48  100  1 0 4
36.76  8  0 1 5
37.83  28  0 0 12
39.99  5  1 0 7
41.91  63  0 1 8
53.77  3  1 0 13
59.14  23  1 1 0
62.35  20  1 0 16
66.75  3  1 1 9

Crystal structure
Lattice parameters (Å, degrees): 3.1242 3.1242 28.5379 90.00 90.00 120.00
Space group R-3m (No. 166, hexagonal axes)
Symmetry-distinct sites (fractional):
Ta 0.0000 0.0000 0.0000 (multiplicity 3)
Ti 0.0000 0.0000 0.5000 (multiplicity 3)
Sn 0.0000 0.0000 0.2488 (multiplicity 6)


# 10
Simulated X-ray diffraction stick pattern of Zr6BCl14 for λ = 1.5418 Å (Cu Kα), from a crystal structure in Alexandria, relaxed with GGA-PBE.

Largest 12 diffraction maxima, low angle first, 5 to 70 degrees two-theta:
Position (°2θ)  Rel. int.  (hkl)
11.84  100  1 1 1
12.22  8  2 0 0
24.56  10  4 0 0
24.84  14  3 1 2
31.34  8  0 4 2
31.59  8  3 3 2
32.12  10  4 2 2
35.82  14  0 4 3
36.51  32  4 2 3
38.21  12  1 5 2
42.00  8  4 2 4
48.79  13  4 6 0

Crystal structure
Lattice parameters (Å, degrees): 14.4861 13.0687 11.7259 90.00 90.00 90.00
Space group Cmce (No. 64)
Symmetry-distinct sites (fractional):
Zr 0.0000 0.1473 0.1079 (multiplicity 8)
Zr 0.1168 0.0693 0.8817 (multiplicity 16)
B 0.0000 0.0000 0.0000 (multiplicity 4)
Cl 0.0000 0.1564 0.7398 (multiplicity 8)
Cl 0.1218 0.0871 0.2484 (multiplicity 16)
Cl 0.1228 0.2383 0.9909 (multiplicity 16)
Cl 0.2483 0.0000 0.0000 (multiplicity 8)
Cl 0.2500 0.1456 0.7500 (multiplicity 8)


# 11
Simulated X-ray diffraction stick pattern of Nd2Sm3Sb3 for λ = 1.5418 Å (Cu Kα), from a crystal structure in Alexandria, relaxed with GGA-PBE.

Largest 12 diffraction maxima, low angle first, 5 to 70 degrees two-theta:
Position (°2θ)  Rel. int.  (hkl)
27.57  18  0 0 2
29.42  31  2 1 0
29.77  18  1 0 2
32.58  100  2 1 1
33.47  57  3 0 0
33.78  85  1 1 2
48.29  24  2 2 2
51.57  16  3 2 1
52.01  27  2 1 3
53.73  14  4 0 2
64.79  14  5 0 2
67.68  15  3 0 4

Crystal structure
Lattice parameters (Å, degrees): 9.2753 9.2753 6.4697 90.00 90.00 120.00
Space group P6_3/mcm (No. 193)
Symmetry-distinct sites (fractional):
Nd 0.3333 0.6667 0.0000 (multiplicity 4)
Sm 0.0000 0.2490 0.2500 (multiplicity 6)
Sb 0.0000 0.3849 0.7500 (multiplicity 6)


# 12
Simulated X-ray diffraction stick pattern of TiAu5 for λ = 1.5418 Å (Cu Kα), from a crystal structure in Alexandria, relaxed with GGA-PBE.

Largest 12 diffraction maxima, low angle first, 5 to 70 degrees two-theta:
Position (°2θ)  Rel. int.  (hkl)
24.44  5  0 2 1
25.78  6  1 1 0
27.47  4  1 0 1
29.31  6  1 1 1
29.46  4  0 1 2
36.71  100  1 0 2
38.90  87  1 3 0
41.54  71  0 3 2
48.47  23  2 0 0
57.05  13  0 0 4
63.25  10  0 6 0
65.70  37  2 3 2

Crystal structure
Lattice parameters (Å, degrees): 3.7559 8.8210 6.4576 90.00 90.00 90.00
Space group Pmmn (No. 59, origin choice 2)
Symmetry-distinct sites (fractional):
Ti 0.2500 0.2500 0.1190 (multiplicity 2)
Au 0.2500 0.2500 0.6173 (multiplicity 2)
Au 0.2500 0.5874 0.1138 (multiplicity 4)
Au 0.2500 0.5875 0.6388 (multiplicity 4)


# 13
Simulated X-ray diffraction stick pattern of ThTeI2 for λ = 1.5418 Å (Cu Kα), from a crystal structure in Alexandria, relaxed with GGA-PBE.

Largest 12 diffraction maxima, low angle first, 5 to 70 degrees two-theta:
Position (°2θ)  Rel. int.  (hkl)
10.85  100  0 0 1
16.50  26  2 0 -1
16.97  18  2 0 0
26.65  42  1 1 1
29.49  50  1 1 -2
31.96  16  4 0 -1
32.10  30  3 1 -1
32.94  19  0 0 3
33.40  25  3 1 0
33.90  23  1 1 2
34.53  17  3 1 -2
38.15  26  3 1 1

Crystal structure
Lattice parameters (Å, degrees): 11.2115 4.1997 8.7516 90.00 111.25 90.00
Space group Cm (No. 8)
Symmetry-distinct sites (fractional):
Th 0.0000 0.0000 0.0000 (multiplicity 2)
Te 0.2051 0.5000 0.9996 (multiplicity 2)
I 0.0080 0.5000 0.2795 (multiplicity 2)
I 0.3500 0.0000 0.7204 (multiplicity 2)